1.
The following is a theoretical powder X-ray diffraction pattern of AlCdCl6. It was derived from a cell relaxed with GGA-PBE, using Cu Kα (weighted mean of Kα1 and Kα2).

```
data_AlCdCl6
_chemical_formula_sum 'Al2 Cd2 Cl12'
_space_group_name_H-M_alt 'C 1 2/m 1'
_space_group_IT_number 12
_cell_length_a 6.217
_cell_length_b 12.243
_cell_length_c 6.526
_cell_angle_alpha 90.00
_cell_angle_beta 112.02
_cell_angle_gamma 90.00
loop_
_space_group_symop_operation_xyz
'x,y,z'
'-x,-y,-z'
'-x,y,-z'
'x,-y,z'
'x+1/2,y+1/2,z'
'-x+1/2,-y+1/2,-z'
'-x+1/2,y+1/2,-z'
'x+1/2,-y+1/2,z'
loop_
_atom_site_label
_atom_site_type_symbol
_atom_site_fract_x
_atom_site_fract_y
_atom_site_fract_z
Al1 Al 0.000 0.000 0.000
Cd1 Cd 0.000 0.500 0.500
Cl1 Cl 0.198 0.135 0.247
Cl2 Cl 0.209 0.500 0.165
```

The 8 most intense peaks (10° ≤ 2θ ≤ 90°), most intense first:
| Position (°2θ) | intensity | h k l |
| --- | --- | --- |
| 14.47 | 100.0 | 0 2 0 |
| 18.31 | 78.4 | 1 1 -1 |
| 33.40 | 57.9 | 1 3 1 |
| 33.98 | 30.6 | 2 0 -2 |
| 28.66 | 27.0 | 1 1 -2 |
| 26.77 | 24.0 | 1 3 0 |
| 47.40 | 21.4 | 1 3 -3 |
| 44.94 | 20.3 | 1 5 1 |

2.
The following is a theoretical powder X-ray diffraction pattern of Ni2ICl3. It was derived from a cell relaxed with GGA-PBE, using Cu Kα (weighted mean of Kα1 and Kα2).

```
data_Ni2ICl3
_chemical_formula_sum 'Ni4 I2 Cl6'
_space_group_name_H-M_alt 'P -3 m 1'
_space_group_IT_number 164
_space_group_name_Hall '-P 3 2"'
_cell_length_a 7.1867
_cell_length_b 7.1867
_cell_length_c 6.7192
_cell_angle_alpha 90.00
_cell_angle_beta 90.00
_cell_angle_gamma 120.00
loop_
_atom_site_label
_atom_site_type_symbol
_atom_site_fract_x
_atom_site_fract_y
_atom_site_fract_z
Ni1 Ni 0.0000 0.0000 0.0000
Ni2 Ni 0.0000 0.5000 0.0000
I1 I 0.3333 0.6667 0.7410
Cl1 Cl 0.1687 0.3373 0.1838
```

The 8 most intense peaks (10° ≤ 2θ ≤ 90°), most intense first:
| Position (°2θ) | intensity | h k l |
| --- | --- | --- |
| 31.69 | 100.0 | 0 2 1 |
| 13.18 | 81.2 | 0 0 1 |
| 39.47 | 59.3 | 0 2 2 |
| 19.44 | 40.7 | 1 0 1 |
| 50.82 | 32.0 | 2 2 0 |
| 50.18 | 24.2 | 2 0 3 |
| 24.78 | 14.4 | 1 1 0 |
| 14.23 | 13.8 | 1 0 0 |

3.
The following is a theoretical powder X-ray diffraction pattern of La6Fe13Pb. It was derived from a cell relaxed with GGA-PBE, using Cu Kα (weighted mean of Kα1 and Kα2).

```
data_La6Fe13Pb
_chemical_formula_sum 'La24 Fe52 Pb4'
_space_group_name_H-M_alt 'I 4/m c m'
_space_group_IT_number 140
_space_group_name_Hall '-I 4 2c'
_cell_length_a 8.091
_cell_length_b 8.091
_cell_length_c 24.197
_cell_angle_alpha 90.00
_cell_angle_beta 90.00
_cell_angle_gamma 90.00
loop_
_atom_site_label
_atom_site_type_symbol
_atom_site_fract_x
_atom_site_fract_y
_atom_site_fract_z
La1 La 0.000 0.000 0.104
La2 La 0.163 0.337 0.181
Fe1 Fe 0.000 0.500 0.000
Fe2 Fe 0.067 0.209 0.500
Fe3 Fe 0.114 0.386 0.410
Fe4 Fe 0.179 0.321 0.056
Pb1 Pb 0.000 0.000 0.250
```

The 8 most intense peaks (10° ≤ 2θ ≤ 90°), most intense first:
| Position (°2θ) | intensity | h k l |
| --- | --- | --- |
| 27.02 | 100.0 | 1 1 6 |
| 35.07 | 86.9 | 3 1 0 |
| 31.30 | 80.6 | 2 2 0 |
| 41.84 | 78.7 | 2 1 9 |
| 37.12 | 65.7 | 2 0 8 |
| 30.86 | 54.1 | 2 1 5 |
| 33.51 | 41.1 | 1 1 8 |
| 65.15 | 38.0 | 4 4 0 |

4.
The following is a theoretical powder X-ray diffraction pattern of Y3Ga5. It was derived from a cell relaxed with GGA-PBE, using Cu Kα (weighted mean of Kα1 and Kα2).

```
data_Y3Ga5
_chemical_formula_sum 'Y24 Ga40'
_space_group_name_H-M_alt 'F d d 2'
_space_group_IT_number 43
_space_group_name_Hall 'F 2 -2d'
_cell_length_a 5.851
_cell_length_b 17.646
_cell_length_c 13.990
_cell_angle_alpha 90.00
_cell_angle_beta 90.00
_cell_angle_gamma 90.00
loop_
_atom_site_label
_atom_site_type_symbol
_atom_site_fract_x
_atom_site_fract_y
_atom_site_fract_z
Y1 Y 0.000 0.000 0.000
Y2 Y 0.002 0.171 0.503
Ga1 Ga 0.000 0.000 0.447
Ga2 Ga 0.011 0.335 0.588
Ga3 Ga 0.031 0.174 0.907
```

The 8 most intense peaks (10° ≤ 2θ ≤ 90°), most intense first:
| Position (°2θ) | intensity | h k l |
| --- | --- | --- |
| 33.04 | 100.0 | 0 6 2 |
| 33.20 | 98.6 | 2 0 2 |
| 38.82 | 96.7 | 1 3 5 |
| 43.64 | 89.4 | 2 6 0 |
| 28.81 | 55.3 | 1 3 3 |
| 50.70 | 38.0 | 1 3 7 |
| 59.72 | 24.9 | 1 9 5 |
| 59.92 | 24.0 | 3 3 5 |